(1)
Ca3Ge2Rh6: theoretical powder XRD pattern (Cu Ka), based on a cell relaxed with PBE.
Intensities are scaled so that the largest is 100.

Crystal structure
```
data_Ca3Ge2Rh6
_symmetry_space_group_name_H-M 'I m -3 m'
_symmetry_Int_Tables_number 229
_symmetry_space_group_name_Hall '-I 4 2 3'
_cell_length_a 9.404
_cell_length_b 9.404
_cell_length_c 9.404
_cell_angle_alpha 90.00
_cell_angle_beta 90.00
_cell_angle_gamma 90.00
loop_
_atom_site_label
_atom_site_type_symbol
_atom_site_fract_x
_atom_site_fract_y
_atom_site_fract_z
_atom_site_occupancy
Ca1 Ca 0.000 0.000 0.297 1
Ge1 Ge 0.250 0.250 0.250 1
Rh1 Rh 0.000 0.321 0.321 1
```

Largest 10 diffraction maxima, in order of rising 2θ, 2θ from 15° to 90°:
d = 4.702 Å, I 17
d = 3.839 Å, I 15
d = 2.513 Å, I 34
d = 2.351 Å, I 16
d = 2.216 Å, I 100
d = 2.103 Å, I 25
d = 1.920 Å, I 14
d = 1.525 Å, I 14
d = 1.280 Å, I 29
d = 1.108 Å, I 18

=====

(2)
Pm4GeOs: theoretical powder XRD pattern (Cu Ka), based on a cell relaxed with PBE.
Intensities are scaled so that the largest is 100.

Crystal structure
```
data_Pm4GeOs
_symmetry_space_group_name_H-M 'C 1 2/c 1'
_symmetry_Int_Tables_number 15
_symmetry_space_group_name_Hall '-C 2yc'
_cell_length_a 9.042
_cell_length_b 13.554
_cell_length_c 6.347
_cell_angle_alpha 90.00
_cell_angle_beta 119.76
_cell_angle_gamma 90.00
loop_
_atom_site_label
_atom_site_type_symbol
_atom_site_fract_x
_atom_site_fract_y
_atom_site_fract_z
_atom_site_occupancy
Pm1 Pm 0.120 0.177 0.086 1
Pm2 Pm 0.209 0.435 0.303 1
Ge1 Ge 0.000 0.370 0.750 1
Os1 Os 0.000 0.001 0.750 1
```

Largest 10 diffraction maxima, in order of rising 2θ, 2θ from 15° to 90°:
d = 2.941 Å, I 97
d = 2.886 Å, I 100
d = 2.682 Å, I 73
d = 2.621 Å, I 50
d = 2.572 Å, I 95
d = 2.562 Å, I 73
d = 2.552 Å, I 67
d = 2.458 Å, I 80
d = 2.300 Å, I 57
d = 2.264 Å, I 73

=====

(3)
Y12Ho2Sc: theoretical powder XRD pattern (Cu Ka), based on a cell relaxed with PBE.
Intensities are scaled so that the largest is 100.

Crystal structure
```
data_Y12Ho2Sc
_symmetry_space_group_name_H-M 'P 4/n b m'
_symmetry_Int_Tables_number 125
_cell_length_a 6.426
_cell_length_b 6.426
_cell_length_c 24.737
_cell_angle_alpha 90.00
_cell_angle_beta 90.00
_cell_angle_gamma 90.00
loop_
_symmetry_equiv_pos_as_xyz
'x,y,z'
'-x,-y,-z'
'-y+1/2,x,z'
'y+1/2,-x,-z'
'-x+1/2,-y+1/2,z'
'x+1/2,y+1/2,-z'
'y,-x+1/2,z'
'-y,x+1/2,-z'
'x,-y+1/2,-z'
'-x,y+1/2,z'
'-y+1/2,-x+1/2,-z'
'y+1/2,x+1/2,z'
'-x+1/2,y,-z'
'x+1/2,-y,z'
'y,x,-z'
'-y,-x,z'
loop_
_atom_site_label
_atom_site_type_symbol
_atom_site_fract_x
_atom_site_fract_y
_atom_site_fract_z
_atom_site_occupancy
Y1 Y 0.064 0.564 0.110 1
Y2 Y 0.081 0.581 0.438 1
Y3 Y 0.250 0.250 0.211 1
Y4 Y 0.250 0.250 0.337 1
Ho1 Ho 0.250 0.750 0.271 1
Sc1 Sc 0.250 0.750 0.000 1
```

Largest 10 diffraction maxima, in order of rising 2θ, 2θ from 15° to 90°:
d = 4.123 Å, I 24
d = 3.110 Å, I 100
d = 3.053 Å, I 37
d = 2.994 Å, I 34
d = 2.852 Å, I 72
d = 2.790 Å, I 72
d = 2.714 Å, I 61
d = 2.355 Å, I 49
d = 2.272 Å, I 43
d = 1.634 Å, I 47

=====

(4)
TbErPu2S4: theoretical powder XRD pattern (Cu Ka), based on a cell relaxed with PBE.
Intensities are scaled so that the largest is 100.

Crystal structure
```
data_TbErPu2S4
_symmetry_space_group_name_H-M 'P 1 2/m 1'
_symmetry_Int_Tables_number 10
_symmetry_space_group_name_Hall '-P 2y'
_cell_length_a 6.778
_cell_length_b 3.913
_cell_length_c 6.833
_cell_angle_alpha 90.00
_cell_angle_beta 109.29
_cell_angle_gamma 90.00
loop_
_atom_site_label
_atom_site_type_symbol
_atom_site_fract_x
_atom_site_fract_y
_atom_site_fract_z
_atom_site_occupancy
Tb1 Tb 0.000 0.000 0.000 1
Er1 Er 0.500 0.500 0.000 1
Pu1 Pu 0.000 0.500 0.500 1
Pu2 Pu 0.500 0.000 0.500 1
S1 S 0.251 0.500 0.247 1
S2 S 0.255 0.000 0.756 1
```

Largest 10 diffraction maxima, in order of rising 2θ, 2θ from 15° to 90°:
d = 3.225 Å, I 25
d = 3.198 Å, I 72
d = 2.775 Å, I 100
d = 1.969 Å, I 37
d = 1.957 Å, I 36
d = 1.673 Å, I 24
d = 1.599 Å, I 19
d = 1.244 Å, I 17
d = 1.238 Å, I 17
d = 1.132 Å, I 13

=====

(5)
PmUTe6: theoretical powder XRD pattern (Cu Ka), based on a cell relaxed with PBE.
Intensities are scaled so that the largest is 100.

Crystal structure
```
data_PmUTe6
_symmetry_space_group_name_H-M 'A m m 2'
_symmetry_Int_Tables_number 38
_symmetry_space_group_name_Hall 'A 2 -2'
_cell_length_a 4.392
_cell_length_b 4.391
_cell_length_c 26.675
_cell_angle_alpha 90.00
_cell_angle_beta 90.00
_cell_angle_gamma 90.00
loop_
_atom_site_label
_atom_site_type_symbol
_atom_site_fract_x
_atom_site_fract_y
_atom_site_fract_z
_atom_site_occupancy
Pm1 Pm 0.000 0.000 0.000 1
U1 U 0.500 0.000 0.658 1
Te1 Te 0.000 0.000 0.125 1
Te2 Te 0.000 0.000 0.407 1
Te3 Te 0.000 0.000 0.748 1
Te4 Te 0.500 0.000 0.248 1
Te5 Te 0.500 0.000 0.538 1
Te6 Te 0.500 0.000 0.907 1
```

Largest 10 diffraction maxima, in order of rising 2θ, 2θ from 15° to 90°:
d = 3.334 Å, I 37
d = 3.085 Å, I 26
d = 2.932 Å, I 100
d = 2.684 Å, I 49
d = 2.656 Å, I 18
d = 2.407 Å, I 44
d = 2.196 Å, I 57
d = 1.834 Å, I 27
d = 1.553 Å, I 19
d = 1.372 Å, I 19

=====

(6)
RbYP2O7: theoretical powder XRD pattern (Cu Ka), based on a cell relaxed with PBE.
Intensities are scaled so that the largest is 100.

Crystal structure
```
data_RbYP2O7
_symmetry_space_group_name_H-M 'P 1 21/c 1'
_symmetry_Int_Tables_number 14
_symmetry_space_group_name_Hall '-P 2ybc'
_cell_length_a 7.878
_cell_length_b 11.098
_cell_length_c 8.820
_cell_angle_alpha 90.00
_cell_angle_beta 105.95
_cell_angle_gamma 90.00
loop_
_atom_site_label
_atom_site_type_symbol
_atom_site_fract_x
_atom_site_fract_y
_atom_site_fract_z
_atom_site_occupancy
Rb1 Rb 0.188 0.178 0.066 1
Y1 Y 0.235 0.598 0.251 1
P1 P 0.128 0.600 0.815 1
P2 P 0.434 0.635 0.687 1
O1 O 0.005 0.504 0.719 1
O2 O 0.076 0.727 0.747 1
O3 O 0.143 0.593 0.990 1
O4 O 0.324 0.569 0.797 1
O5 O 0.332 0.610 0.516 1
O6 O 0.385 0.076 0.765 1
O7 O 0.448 0.731 0.232 1
```

Largest 10 diffraction maxima, in order of rising 2θ, 2θ from 15° to 90°:
d = 4.242 Å, I 35
d = 3.955 Å, I 21
d = 3.787 Å, I 17
d = 3.717 Å, I 26
d = 3.366 Å, I 21
d = 3.324 Å, I 47
d = 3.190 Å, I 50
d = 3.178 Å, I 100
d = 2.828 Å, I 17
d = 1.695 Å, I 19

=====

(7)
Sc4InBiH: theoretical powder XRD pattern (Cu Ka), based on a cell relaxed with PBE.
Intensities are scaled so that the largest is 100.

Crystal structure
```
data_Sc4InBiH
_symmetry_space_group_name_H-M 'C m c m'
_symmetry_Int_Tables_number 63
_symmetry_space_group_name_Hall '-C 2c 2'
_cell_length_a 6.071
_cell_length_b 15.869
_cell_length_c 6.082
_cell_angle_alpha 90.00
_cell_angle_beta 90.00
_cell_angle_gamma 90.00
loop_
_atom_site_label
_atom_site_type_symbol
_atom_site_fract_x
_atom_site_fract_y
_atom_site_fract_z
_atom_site_occupancy
Sc1 Sc 0.000 0.073 0.250 1
Sc2 Sc 0.000 0.419 0.250 1
Sc3 Sc 0.250 0.250 0.000 1
In1 In 0.000 0.113 0.750 1
Bi1 Bi 0.000 0.392 0.750 1
H1 H 0.000 0.284 0.250 1
```

Largest 10 diffraction maxima, in order of rising 2θ, 2θ from 15° to 90°:
d = 4.147 Å, I 100
d = 3.967 Å, I 50
d = 3.335 Å, I 85
d = 3.038 Å, I 95
d = 2.837 Å, I 60
d = 2.645 Å, I 37
d = 2.414 Å, I 86
d = 2.411 Å, I 84
d = 2.148 Å, I 85
d = 2.005 Å, I 51

=====

(8)
ZrV2Co9: theoretical powder XRD pattern (Cu Ka), based on a cell relaxed with PBE.
Intensities are scaled so that the largest is 100.

Crystal structure
```
data_ZrV2Co9
_symmetry_space_group_name_H-M 'P 4/m b m'
_symmetry_Int_Tables_number 127
_symmetry_space_group_name_Hall '-P 4 2ab'
_cell_length_a 7.948
_cell_length_b 7.948
_cell_length_c 4.592
_cell_angle_alpha 90.00
_cell_angle_beta 90.00
_cell_angle_gamma 90.00
loop_
_atom_site_label
_atom_site_type_symbol
_atom_site_fract_x
_atom_site_fract_y
_atom_site_fract_z
_atom_site_occupancy
Zr1 Zr 0.000 0.000 0.000 1
V1 V 0.119 0.381 0.000 1
Co1 Co 0.000 0.500 0.500 1
Co2 Co 0.060 0.208 0.500 1
Co3 Co 0.180 0.680 0.238 1
```

Largest 10 diffraction maxima, in order of rising 2θ, 2θ from 15° to 90°:
d = 2.397 Å, I 23
d = 2.205 Å, I 72
d = 1.988 Å, I 58
d = 1.928 Å, I 100
d = 1.873 Å, I 14
d = 1.777 Å, I 21
d = 1.307 Å, I 12
d = 1.290 Å, I 11
d = 1.102 Å, I 12
d = 1.092 Å, I 18

=====

(9)
Li12MgCd2: theoretical powder XRD pattern (Cu Ka), based on a cell relaxed with PBE.
Intensities are scaled so that the largest is 100.

Crystal structure
```
data_Li12MgCd2
_symmetry_space_group_name_H-M 'C m m e'
_symmetry_Int_Tables_number 67
_symmetry_space_group_name_Hall '-C 2a 2'
_cell_length_a 5.861
_cell_length_b 10.270
_cell_length_c 19.543
_cell_angle_alpha 90.00
_cell_angle_beta 90.00
_cell_angle_gamma 90.00
loop_
_atom_site_label
_atom_site_type_symbol
_atom_site_fract_x
_atom_site_fract_y
_atom_site_fract_z
_atom_site_occupancy
Li1 Li 0.000 0.000 0.076 1
Li2 Li 0.000 0.119 0.499 1
Li3 Li 0.248 0.250 0.606 1
Li4 Li 0.250 0.000 0.216 1
Li5 Li 0.250 0.000 0.356 1
Li6 Li 0.250 0.250 0.138 1
Mg1 Mg 0.000 0.250 0.000 1
Cd1 Cd 0.000 0.250 0.270 1
Cd2 Cd 0.000 0.250 0.731 1
```

Largest 10 diffraction maxima, in order of rising 2θ, 2θ from 15° to 90°:
d = 5.135 Å, I 100
d = 4.886 Å, I 68
d = 4.546 Å, I 91
d = 3.540 Å, I 63
d = 2.568 Å, I 26
d = 2.545 Å, I 34
d = 2.513 Å, I 36
d = 2.463 Å, I 48
d = 2.453 Å, I 29
d = 2.257 Å, I 49

=====

(10)
InAs2SBr: theoretical powder XRD pattern (Cu Ka), based on a cell relaxed with PBE.
Intensities are scaled so that the largest is 100.

Crystal structure
```
data_InAs2SBr
_symmetry_space_group_name_H-M 'P 4/m m m'
_symmetry_Int_Tables_number 123
_symmetry_space_group_name_Hall '-P 4 2'
_cell_length_a 4.904
_cell_length_b 4.904
_cell_length_c 5.449
_cell_angle_alpha 90.00
_cell_angle_beta 90.00
_cell_angle_gamma 90.00
loop_
_atom_site_label
_atom_site_type_symbol
_atom_site_fract_x
_atom_site_fract_y
_atom_site_fract_z
_atom_site_occupancy
In1 In 0.000 0.000 0.000 1
As1 As 0.000 0.500 0.500 1
S1 S 0.500 0.500 0.500 1
Br1 Br 0.500 0.500 0.000 1
```

Largest 10 diffraction maxima, in order of rising 2θ, 2θ from 15° to 90°:
d = 2.925 Å, I 100
d = 2.725 Å, I 30
d = 2.452 Å, I 44
d = 1.823 Å, I 35
d = 1.734 Å, I 15
d = 1.609 Å, I 17
d = 1.491 Å, I 26
d = 1.463 Å, I 17
d = 1.191 Å, I 9
d = 1.179 Å, I 12

=====

(11)
PmSb3Au: theoretical powder XRD pattern (Cu Ka), based on a cell relaxed with PBE.
Intensities are scaled so that the largest is 100.

Crystal structure
```
data_PmSb3Au
_symmetry_space_group_name_H-M 'P b c m'
_symmetry_Int_Tables_number 57
_symmetry_space_group_name_Hall '-P 2c 2b'
_cell_length_a 13.176
_cell_length_b 6.311
_cell_length_c 6.345
_cell_angle_alpha 90.00
_cell_angle_beta 90.00
_cell_angle_gamma 90.00
loop_
_atom_site_label
_atom_site_type_symbol
_atom_site_fract_x
_atom_site_fract_y
_atom_site_fract_z
_atom_site_occupancy
Pm1 Pm 0.186 0.008 0.250 1
Sb1 Sb 0.001 0.250 0.000 1
Sb2 Sb 0.251 0.517 0.250 1
Sb3 Sb 0.440 0.667 0.750 1
Au1 Au 0.379 0.250 0.000 1
```

Largest 10 diffraction maxima, in order of rising 2θ, 2θ from 15° to 90°:
d = 2.858 Å, I 46
d = 2.846 Å, I 100
d = 2.653 Å, I 46
d = 2.635 Å, I 52
d = 2.603 Å, I 88
d = 2.572 Å, I 92
d = 2.563 Å, I 62
d = 2.382 Å, I 46
d = 2.237 Å, I 89
d = 1.706 Å, I 43